Simulated XRD peak list of CrFe2Se4 for λ = 1.5418 Å (Cu Kα), from a structure optimized by DFT (GGA-PBE).
Lines closer than 0.1° are merged.

Most intense lines, 10 to 90 degrees two-theta, by intensity:
(4 0 -2), 2θ = 33.05°, I = 100
(3 1 -3), 2θ = 50.76°, I = 39
(5 1 -1), 2θ = 43.90°, I = 32
(3 1 -1), 2θ = 33.29°, I = 28
(3 1 1), 2θ = 43.57°, I = 27
(0 2 0), 2θ = 51.58°, I = 20
(0 0 2), 2θ = 32.58°, I = 17
(2 0 2), 2θ = 43.10°, I = 14
(11 1 -3), 2θ = 89.37°, I = 14
(7 1 -1), 2θ = 58.06°, I = 13

Cell and atoms:
a b c (Å): 12.7240 3.5439 6.2634
angles (deg): 90.00 118.65 90.00
Space group Cm (No. 8)
Unique sites:
Cr 0.0000 0.0000 0.0000
Fe 0.2401 0.5000 0.7158
Fe 0.4848 0.0000 0.4215
Se 0.1081 0.0000 0.7384
Se 0.1301 0.5000 0.2682
Se 0.3558 0.5000 0.1593
Se 0.3748 0.0000 0.6799

---

Simulated XRD peak list of CrFe2Se4 for λ = 1.5418 Å (Cu Kα), from a structure optimized by DFT (GGA-PBE).
Lines closer than 0.1° are merged.

Most intense lines, 10 to 90 degrees two-theta, by intensity:
(2 0 -1), 2θ = 39.07°, I = 100
(0 2 -1), 2θ = 30.16°, I = 96
(1 1 -2), 2θ = 30.27°, I = 82
(1 -1 1), 2θ = 29.91°, I = 81
(0 0 2), 2θ = 33.53°, I = 69
(2 0 -3), 2θ = 52.64°, I = 66
(-1 1 1), 2θ = 29.30°, I = 59
(0 1 0), 2θ = 16.77°, I = 51
(1 0 2), 2θ = 46.66°, I = 47
(0 2 1), 2θ = 44.61°, I = 46

Cell and atoms:
a b c (Å): 4.6119 5.9329 6.4009
angles (deg): 114.99 110.44 90.44
Space group P1 (No. 1)
Unique sites:
Cr 0.0000 0.0000 0.0000
Fe 0.5405 0.5351 0.7696
Fe 0.7609 0.4707 0.2010
Se 0.3088 0.4204 0.3141
Se 0.5260 0.1456 0.7881
Se 0.7000 0.8599 0.1884
Se 0.9831 0.5854 0.6681

---

Simulated XRD peak list of CrFe2Se4 for λ = 1.5418 Å (Cu Kα), from a structure optimized by DFT (GGA-PBE).
Lines closer than 0.1° are merged.

Most intense lines, 10 to 90 degrees two-theta, by intensity:
(1 1 1), 2θ = 32.94°, I = 100
(4 0 -2), 2θ = 33.40°, I = 93
(3 1 -3), 2θ = 51.30°, I = 52
(3 1 1), 2θ = 42.95°, I = 52
(5 1 -1), 2θ = 43.70°, I = 47
(0 0 2), 2θ = 32.44°, I = 34
(0 2 0), 2θ = 51.85°, I = 32
(6 0 -2), 2θ = 43.87°, I = 18
(7 1 -1), 2θ = 57.43°, I = 18
(4 2 -2), 2θ = 63.08°, I = 16

Cell and atoms:
a b c (Å): 12.8093 3.5269 6.1938
angles (deg): 90.00 116.97 90.00
Space group C2/m (No. 12)
Unique sites:
Cr 0.0000 0.0000 0.0000
Fe 0.2440 0.5000 0.6929
Se 0.1127 0.0000 0.4567
Se 0.1399 0.5000 0.9808

---

Simulated XRD peak list of Zn3Cr8FeSe16 for λ = 1.5418 Å (Cu Kα), from a structure optimized by DFT (GGA-PBE).
Lines closer than 0.1° are merged.

Most intense lines, 10 to 90 degrees two-theta, by intensity:
(2 2 0), 2θ = 48.70°, I = 100
(2 0 8), 2θ = 33.90°, I = 78
(0 2 4), 2θ = 29.25°, I = 52
(2 0 2), 2θ = 27.98°, I = 37
(3 0 6), 2θ = 44.51°, I = 34
(4 0 4), 2θ = 57.83°, I = 19
(4 2 8), 2θ = 81.38°, I = 18
(1 1 0), 2θ = 23.80°, I = 17
(0 4 8), 2θ = 60.66°, I = 16
(4 0 16), 2θ = 71.34°, I = 14

Cell and atoms:
a b c (Å): 7.4782 7.4782 36.6433
angles (deg): 90.00 90.00 120.00
Space group R3m (No. 160, hexagonal axes)
Unique sites:
Zn 0.0000 0.0000 0.0000
Zn 0.0000 0.0000 0.1250
Zn 0.0000 0.0000 0.6250
Cr 0.0000 0.0000 0.3125
Cr 0.0000 0.0000 0.8123
Cr 0.9997 0.4999 0.0624
Cr 0.9999 0.5000 0.5626
Fe 0.0000 0.0000 0.4999
Se 0.0000 0.0000 0.1926
Se 0.0000 0.0000 0.4332
Se 0.0000 0.0000 0.6926
Se 0.0000 0.0000 0.9322
Se 0.0276 0.5138 0.4357
Se 0.0276 0.5138 0.9358
Se 0.1784 0.3568 0.5223
Se 0.1806 0.3612 0.0226

---

Simulated XRD peak list of CrFeSi2 for λ = 1.5418 Å (Cu Kα), from a structure optimized by DFT (GGA-PBE).
Lines closer than 0.1° are merged.

Most intense lines, 10 to 90 degrees two-theta, by intensity:
(0 2 1), 2θ = 44.95°, I = 100
(2 1 0), 2θ = 44.77°, I = 69
(1 0 -2), 2θ = 44.35°, I = 39
(1 1 2), 2θ = 49.53°, I = 38
(2 1 -1), 2θ = 49.00°, I = 34
(1 1 0), 2θ = 27.92°, I = 24
(1 1 -1), 2θ = 34.15°, I = 17
(1 2 1), 2θ = 49.61°, I = 17
(2 3 1), 2θ = 79.67°, I = 17
(1 2 -1), 2θ = 49.34°, I = 16

Cell and atoms:
a b c (Å): 4.5326 4.5002 4.5424
angles (deg): 90.00 90.88 90.00
Space group P2_1 (No. 4)
Unique sites:
Cr 0.1301 0.0000 0.1056
Fe 0.3588 0.7247 0.6142
Si 0.1639 0.2081 0.5910
Si 0.3550 0.5173 0.0982

---

Simulated XRD peak list of CrFe11Si4 for λ = 1.5418 Å (Cu Kα), from a structure optimized by DFT (GGA-PBE).
Lines closer than 0.1° are merged.

Most intense lines, 10 to 90 degrees two-theta, by intensity:
(1 1 0), 2θ = 45.92°, I = 100
(3 0 0), 2θ = 85.05°, I = 22
(0 2 16), 2θ = 66.96°, I = 15
(0 1 32), 2θ = 84.85°, I = 7
(1 0 4), 2θ = 27.64°, I = 6
(0 1 8), 2θ = 32.02°, I = 3
(0 1 20), 2θ = 54.42°, I = 2
(2 0 8), 2θ = 57.11°, I = 1
(0 2 4), 2θ = 54.48°, I = 1

Cell and atoms:
a b c (Å): 3.9493 3.9493 38.7964
angles (deg): 90.00 90.00 120.00
Space group R-3m (No. 166, hexagonal axes)
Unique sites:
Cr 0.0000 0.0000 0.0000
Fe 0.0000 0.0000 0.0615
Fe 0.0000 0.0000 0.1876
Fe 0.0000 0.0000 0.2495
Fe 0.0000 0.0000 0.3133
Fe 0.0000 0.0000 0.4372
Fe 0.0000 0.0000 0.5000
Si 0.0000 0.0000 0.1251
Si 0.0000 0.0000 0.3753

---

Simulated XRD peak list of Sm2Cr2Fe15 for λ = 1.5418 Å (Cu Kα), from a structure optimized by DFT (GGA-PBE).
Lines closer than 0.1° are merged.

Most intense lines, 10 to 90 degrees two-theta, by intensity:
(3 0 3), 2θ = 43.09°, I = 100
(2 2 0), 2θ = 42.95°, I = 52
(1 1 3), 2θ = 30.19°, I = 40
(3 0 0), 2θ = 36.97°, I = 38
(0 0 6), 2θ = 43.49°, I = 30
(0 2 4), 2θ = 37.94°, I = 19
(2 2 3), 2θ = 48.45°, I = 17
(3 3 3), 2θ = 70.84°, I = 16
(6 0 0), 2θ = 78.71°, I = 16
(2 2 6), 2θ = 62.78°, I = 16

Cell and atoms:
a b c (Å): 8.4227 8.4227 12.4862
angles (deg): 90.00 90.00 120.00
Space group R-3m (No. 166, hexagonal axes)
Unique sites:
Sm 0.0000 0.0000 0.1575
Cr 0.0000 0.0000 0.4139
Fe 0.0000 0.2981 0.5000
Fe 0.0000 0.5000 0.0000
Fe 0.0040 0.5020 0.3405

---

Simulated XRD peak list of Sm4CrFe33 for λ = 1.5418 Å (Cu Kα), from a structure optimized by DFT (GGA-PBE).
Lines closer than 0.1° are merged.

Most intense lines, 10 to 90 degrees two-theta, by intensity:
(3 3 0), 2θ = 42.72°, I = 100
(2 2 4), 2θ = 42.42°, I = 60
(4 0 -4), 2θ = 43.59°, I = 47
(2 0 4), 2θ = 36.52°, I = 40
(2 2 -2), 2θ = 30.05°, I = 39
(4 0 0), 2θ = 37.80°, I = 25
(6 2 0), 2θ = 62.48°, I = 14
(6 2 -2), 2θ = 61.82°, I = 13
(0 2 6), 2θ = 48.01°, I = 13
(5 3 4), 2θ = 70.05°, I = 12

Cell and atoms:
a b c (Å): 9.6502 8.5358 12.8642
angles (deg): 90.00 99.56 90.00
Space group Cm (No. 8)
Unique sites:
Sm 0.0000 0.0000 0.0000
Sm 0.0005 0.0000 0.4991
Sm 0.3148 0.0000 0.3423
Sm 0.3195 0.0000 0.8398
Cr 0.0680 0.5000 0.2157
Fe 0.0010 0.0000 0.2480
Fe 0.0017 0.0000 0.7478
Fe 0.0134 0.3532 0.0227
Fe 0.0134 0.3542 0.5237
Fe 0.0636 0.5000 0.7178
Fe 0.0665 0.2514 0.3405
Fe 0.0668 0.2510 0.8411
Fe 0.1581 0.5000 0.4190
Fe 0.1601 0.2055 0.1697
Fe 0.1596 0.2080 0.6697
Fe 0.1597 0.5000 0.9200
Fe 0.2518 0.2516 0.4981
Fe 0.2524 0.5000 0.1231
Fe 0.2532 0.2506 0.9998
Fe 0.2556 0.5000 0.6220
Fe 0.3056 0.3537 0.8162
Fe 0.3071 0.3533 0.3162
Fe 0.3174 0.0000 0.5917
Fe 0.3182 0.0000 0.0917
Fe 0.4096 0.2485 0.1707
Fe 0.4096 0.2500 0.6697

---

Simulated XRD peak list of Ta2CrFe for λ = 1.5418 Å (Cu Kα), from a structure optimized by DFT (GGA-PBE).
Lines closer than 0.1° are merged.

Most intense lines, 10 to 90 degrees two-theta, by intensity:
(2 2 0), 2θ = 41.54°, I = 100
(2 0 0), 2θ = 29.05°, I = 35
(4 2 2), 2θ = 75.79°, I = 33
(4 0 0), 2θ = 60.20°, I = 16
(4 2 0), 2θ = 68.21°, I = 14
(2 2 2), 2θ = 51.49°, I = 10

Cell and atoms:
a b c (Å): 6.1486 6.1486 6.1486
angles (deg): 90.00 90.00 90.00
Space group Fm-3m (No. 225)
Unique sites:
Ta 0.2500 0.2500 0.2500
Cr 0.0000 0.0000 0.0000
Fe 0.0000 0.0000 0.5000

---

Simulated XRD peak list of CrFe2Te4 for λ = 1.5418 Å (Cu Kα), from a structure optimized by DFT (GGA-PBE).
Lines closer than 0.1° are merged.

Most intense lines, 10 to 90 degrees two-theta, by intensity:
(1 -1 1), 2θ = 32.53°, I = 100
(1 1 -1), 2θ = 32.77°, I = 100
(0 2 2), 2θ = 32.66°, I = 98
(1 3 1), 2θ = 47.46°, I = 63
(0 2 -2), 2θ = 44.82°, I = 37
(0 0 2), 2θ = 26.91°, I = 37
(-1 1 3), 2θ = 46.43°, I = 36
(1 1 3), 2θ = 46.04°, I = 36
(2 0 0), 2θ = 48.81°, I = 32
(0 1 0), 2θ = 13.84°, I = 32

Cell and atoms:
a b c (Å): 3.7317 6.6990 6.9367
angles (deg): 72.80 89.48 89.97
Space group P-1 (No. 2)
Unique sites:
Cr 0.0000 0.0000 0.0000
Fe 0.0000 0.5000 0.5000
Fe 0.5000 0.5000 0.0000
Te 0.0073 0.7246 0.7698
Te 0.4961 0.7326 0.2391

---

Simulated XRD peak list of CrFe2Te4 for λ = 1.5418 Å (Cu Kα), from a structure optimized by DFT (GGA-PBE).
Lines closer than 0.1° are merged.

Most intense lines, 10 to 90 degrees two-theta, by intensity:
(1 -1 1), 2θ = 30.44°, I = 100
(0 1 2), 2θ = 31.22°, I = 59
(-1 2 1), 2θ = 41.26°, I = 36
(2 0 0), 2θ = 45.59°, I = 24
(0 1 -2), 2θ = 30.98°, I = 24
(1 2 -1), 2θ = 41.08°, I = 23
(1 0 -3), 2θ = 46.82°, I = 22
(1 0 3), 2θ = 46.94°, I = 22
(1 1 1), 2θ = 30.57°, I = 20
(2 1 2), 2θ = 56.34°, I = 14

Cell and atoms:
a b c (Å): 3.9799 5.7190 6.6564
angles (deg): 90.46 90.16 90.04
Space group P-1 (No. 2)
Unique sites:
Cr 0.0000 0.0000 0.0000
Fe 0.5000 0.0000 0.5000
Fe 0.5000 0.5000 0.5000
Te 0.0012 0.7438 0.6570
Te 0.4995 0.2639 0.8417

---

Simulated XRD peak list of ZrTiCr2Fe2 for λ = 1.5418 Å (Cu Kα), from a structure optimized by DFT (GGA-PBE).
Lines closer than 0.1° are merged.

Most intense lines, 10 to 90 degrees two-theta, by intensity:
(3 1 2), 2θ = 43.08°, I = 100
(2 2 -1), 2θ = 44.01°, I = 84
(1 1 -3), 2θ = 40.15°, I = 79
(0 2 2), 2θ = 43.39°, I = 46
(4 0 1), 2θ = 43.60°, I = 43
(2 0 3), 2θ = 40.04°, I = 38
(3 1 0), 2θ = 36.29°, I = 35
(2 2 5), 2θ = 74.62°, I = 26
(6 2 0), 2θ = 77.04°, I = 24
(0 0 4), 2θ = 45.77°, I = 22

Cell and atoms:
a b c (Å): 8.6044 4.9037 7.9288
angles (deg): 90.00 90.08 90.00
Space group Cm (No. 8)
Unique sites:
Zr 0.0000 0.0000 0.0000
Zr 0.1672 0.5000 0.1370
Ti 0.9998 0.0000 0.6228
Ti 0.1674 0.5000 0.5084
Cr 0.2471 0.2557 0.8060
Cr 0.3338 0.0000 0.0639
Cr 0.3343 0.0000 0.5663
Fe 0.0047 0.5000 0.8083
Fe 0.1635 0.0000 0.3237
Fe 0.4178 0.2536 0.3238

---

Simulated XRD peak list of TmCr2Fe10 for λ = 1.5418 Å (Cu Kα), from a structure optimized by DFT (GGA-PBE).
Lines closer than 0.1° are merged.

Most intense lines, 10 to 90 degrees two-theta, by intensity:
(0 4 0), 2θ = 43.28°, I = 100
(2 0 2), 2θ = 44.23°, I = 96
(1 3 2), 2θ = 43.41°, I = 74
(1 1 2), 2θ = 30.48°, I = 63
(0 0 4), 2θ = 42.90°, I = 41
(1 3 0), 2θ = 37.51°, I = 31
(1 0 3), 2θ = 37.30°, I = 29
(3 3 2), 2θ = 72.86°, I = 27
(2 2 2), 2θ = 49.52°, I = 27
(2 0 0), 2θ = 38.38°, I = 22

Cell and atoms:
a b c (Å): 4.6901 8.3706 8.4317
angles (deg): 90.00 90.00 90.00
Space group Immm (No. 71)
Unique sites:
Tm 0.0000 0.0000 0.0000
Cr 0.0000 0.0000 0.3673
Fe 0.0000 0.2757 0.5000
Fe 0.0000 0.3589 0.0000
Fe 0.0000 0.5000 0.2736
Fe 0.2500 0.2500 0.2500